Entry 1:
The following is a computed XRD peak list of GdNi2Sb2. It was derived from DFT lattice parameters and positions (GGA-PBE), using Cu Kα, 1.54184 Å.
Peak positions follow from Bragg's law for the DFT cell and can differ from measured ones.

```
GdNi2Sb2
1.0
-2.1640 2.1640 5.3442
2.1640 -2.1640 5.3442
2.1640 2.1640 -5.3442
Gd Ni Sb
1 2 2
Direct
0.0000 0.0000 0.0000
0.2500 0.7500 0.5000
0.7500 0.2500 0.5000
0.3659 0.3659 0.0000
0.6341 0.6341 0.0000
```

Main lines, low angle first (2θ = 15–90°):
d [Å]	I (rel.)
3.060	377
2.751	1000
2.656	488
2.164	562
1.917	206
1.701	473
1.540	179
1.530	182
1.435	159
1.137	254



Entry 2:
The following is a computed XRD peak list of CeMg6Mo. It was derived from DFT lattice parameters and positions (GGA-PBE), using Cu Kα, 1.54184 Å.
Peak positions follow from Bragg's law for the DFT cell and can differ from measured ones.

```
CeMg6Mo
1.0
4.7677 0.0000 0.0000
0.0000 3.2044 5.8534
0.0000 -3.2044 5.8534
Ce Mg Mo
1 6 1
Direct
0.0000 0.0000 0.0000
0.0000 0.0209 0.5308
0.0000 0.5308 0.0209
0.0000 0.5400 0.5400
0.5000 0.3794 0.3794
0.5000 0.3844 0.8771
0.5000 0.8771 0.3844
0.5000 0.9053 0.9053
```

Main lines, low angle first (2θ = 15–90°):
d [Å]	I (rel.)
5.853	437
5.622	1000
3.333	193
2.811	461
2.732	192
2.494	531
2.421	490
2.384	267
2.195	199
1.818	250



Entry 3:
The following is a computed XRD peak list of NaY3. It was derived from DFT lattice parameters and positions (GGA-PBE), using Cu Kα, 1.54184 Å.
Peak positions follow from Bragg's law for the DFT cell and can differ from measured ones.

```
NaY3
1.0
0.0000 4.0111 4.0111
4.0111 0.0000 4.0111
4.0111 4.0111 0.0000
Na Y
1 3
Direct
0.0000 0.0000 0.0000
0.2500 0.2500 0.2500
0.5000 0.5000 0.5000
0.7500 0.7500 0.7500
```

Main lines, low angle first (2θ = 15–90°):
d [Å]	I (rel.)
4.632	118
4.011	62
2.836	1000
2.419	63
2.006	179
1.840	28
1.638	368
1.418	111
1.268	151
1.158	37



Entry 4:
The following is a computed XRD peak list of HfSiNi. It was derived from DFT lattice parameters and positions (GGA-PBE), using Cu Kα, 1.54184 Å.
Peak positions follow from Bragg's law for the DFT cell and can differ from measured ones.

```
HfSiNi
1.0
0.0000 2.9358 2.9358
2.9358 0.0000 2.9358
2.9358 2.9358 0.0000
Hf Si Ni
1 1 1
Direct
0.0000 0.0000 0.0000
0.7500 0.7500 0.7500
0.5000 0.5000 0.5000
```

Main lines, low angle first (2θ = 15–90°):
d [Å]	I (rel.)
3.390	457
2.936	829
2.076	1000
1.770	230
1.695	220
1.468	162
1.347	98
1.313	277
1.199	332
1.130	79



Entry 5:
The following is a computed XRD peak list of MgZn3. It was derived from DFT lattice parameters and positions (GGA-PBE), using Cu Kα, 1.54184 Å.
Peak positions follow from Bragg's law for the DFT cell and can differ from measured ones.

```
MgZn3
1.0
4.0364 0.0000 0.0000
0.0000 4.0364 0.0000
0.0000 0.0000 4.0364
Mg Zn
1 3
Direct
0.0000 0.0000 0.0000
0.0000 0.5000 0.5000
0.5000 0.0000 0.5000
0.5000 0.5000 0.0000
```

Main lines, low angle first (2θ = 15–90°):
d [Å]	I (rel.)
4.036	115
2.854	96
2.330	1000
2.018	482
1.805	49
1.648	36
1.427	294
1.345	22
1.217	334
1.165	96



Entry 6:
The following is a computed XRD peak list of Rb3Ti. It was derived from DFT lattice parameters and positions (GGA-PBE), using Cu Kα, 1.54184 Å.
Peak positions follow from Bragg's law for the DFT cell and can differ from measured ones.

```
Rb3Ti
1.0
6.2294 0.0000 0.0000
0.0000 6.2294 0.0000
0.0000 0.0000 6.2294
Rb Ti
3 1
Direct
0.0000 0.0000 0.5000
0.0000 0.5000 0.0000
0.5000 0.0000 0.0000
0.5000 0.5000 0.5000
```

Main lines, low angle first (2θ = 15–90°):
d [Å]	I (rel.)
3.597	1000
3.115	515
2.202	379
1.878	459
1.798	133
1.557	62
1.429	184
1.393	169
1.272	125
1.199	138



Entry 7:
The following is a computed XRD peak list of CrN2. It was derived from DFT lattice parameters and positions (GGA-PBE), using Cu Kα, 1.54184 Å.
Peak positions follow from Bragg's law for the DFT cell and can differ from measured ones.

```
CrN2
1.0
7.9917 0.0000 0.0000
-1.2555 12.3686 0.0000
-0.9261 -3.3760 12.0839
Cr N
16 32
Direct
0.0430 0.2387 0.0673
0.0748 0.5402 0.7422
0.2212 0.4138 0.9299
0.3045 0.5592 0.3754
0.3308 0.8671 0.0594
0.3878 0.6392 0.1442
0.4087 0.1426 0.1430
0.4296 0.6380 0.6411
0.5704 0.3620 0.3589
0.5913 0.8574 0.8570
0.6122 0.3608 0.8558
0.6692 0.1329 0.9406
0.6955 0.4408 0.6246
0.7788 0.5862 0.0701
0.9252 0.4598 0.2578
0.9570 0.7613 0.9327
0.0180 0.6643 0.8220
0.0893 0.5197 0.3615
0.1060 0.4527 0.8249
0.1095 0.3076 0.9742
0.1280 0.8586 0.9941
0.2153 0.1797 0.1154
0.2641 0.5743 0.6918
0.2733 0.5288 0.0399
0.3350 0.7658 0.1324
0.3583 0.6229 0.2735
0.3746 0.6431 0.5077
0.3921 0.0004 0.1403
0.4016 0.3676 0.8781
0.4033 0.4400 0.3572
0.4657 0.8373 0.9579
0.4947 0.7679 0.7340
0.5053 0.2321 0.2660
0.5343 0.1627 0.0421
0.5967 0.5600 0.6428
0.5984 0.6324 0.1219
0.6079 0.9996 0.8597
0.6254 0.3569 0.4923
0.6417 0.3771 0.7265
0.6650 0.2342 0.8676
0.7267 0.4712 0.9601
0.7359 0.4257 0.3082
0.7847 0.8203 0.8846
0.8720 0.1414 0.0059
0.8905 0.6924 0.0258
0.8940 0.5473 0.1751
0.9107 0.4803 0.6385
0.9820 0.3357 0.1780
```

Main lines, low angle first (2θ = 15–90°):
d [Å]	I (rel.)
5.096	652
4.971	822
4.923	1000
4.850	447
4.238	590
4.169	603
3.897	543
3.761	751
3.480	461
3.308	593